Entry 1:
The following is a computed powder diffractogram of Li4Mg10Pd. It was derived from the PBE geometry in Alexandria, using Cu Kα X-rays.
Intensities are scaled so that the largest is 100.

Structure:
a b c (Å): 10.5518 10.5518 6.4919
angles (deg): 90.00 90.00 90.00
Space group I4/m (No. 87)
Symmetry-distinct sites (fractional):
Li1 0.1030 0.6987 0.0000
Mg1 0.0000 0.5000 0.2500
Mg2 0.0945 0.1896 0.2571
Pd1 0.0000 0.0000 0.5000

Top 6 peaks for 10° ≤ 2θ ≤ 90°, by angle:
hkl  two_theta  d [Å]  I/Imax
1 1 0  11.86  7.461  74
1 0 1  16.03  5.529  68
2 0 0  16.80  5.276  36
1 2 1  23.30  3.817  63
2 4 0  38.14  2.359  48
3 1 2  38.70  2.327  100


Entry 2:
The following is a computed powder diffractogram of Ac2La3Nd5. It was derived from the PBE geometry in Alexandria, using Cu Kα X-rays.
Intensities are scaled so that the largest is 100.

Structure:
a b c (Å): 11.2668 14.5469 10.7992
angles (deg): 90.00 121.15 90.00
Space group C2/c (No. 15)
Symmetry-distinct sites (fractional):
Ac1 0.1520 0.1236 0.0525
La1 0.0000 0.2756 0.7500
La2 0.1537 0.3753 0.5562
Nd1 0.0000 0.0233 0.2500
Nd2 0.0000 0.2403 0.2500
Nd3 0.0000 0.4926 0.7500
Nd4 0.2452 0.1244 0.7440

Top 6 peaks for 10° ≤ 2θ ≤ 90°, by angle:
hkl  two_theta  d [Å]  I/Imax
2 2 1  27.76  3.213  55
2 2 -3  27.88  3.200  56
2 4 0  30.82  2.901  100
0 4 2  31.30  2.858  27
4 0 -2  31.77  2.817  53
2 4 -6  58.41  1.580  29